Theoretical powder X-ray diffraction pattern
Compound: Na10Zn4O9
Radiation: a wavelength of 1.5418 Å
Structure: a DFT-relaxed cell (PBE, OQMD)

Most intense lines, 2θ = 5–70°, most intense first:
| Position (°2θ) | I (rel.) | index |
| --- | --- | --- |
| 38.00 | 100 | 4 0 1 |
| 31.58 | 82 | 3 1 1 |
| 23.69 | 60 | 2 0 1 |
| 50.09 | 42 | 3 3 2 |
| 11.84 | 36 | 1 1 0 |
| 36.05 | 34 | 3 3 0 |
| 51.90 | 30 | 6 0 0 |
| 45.99 | 26 | 3 2 2 |
| 33.58 | 20 | 0 0 2 |
| 30.40 | 18 | 3 0 1 |

Crystal structure
Cell: 10.5700 10.5700 5.3377 Å, 90.00 90.00 90.00°
Space group P4_2/nmc (No. 137, origin choice 2)
Symmetry-distinct sites (fractional):
Na 0.0456 0.1111 0.0659
Na 0.2500 0.2500 0.1456
Zn 0.0977 0.7500 0.4664
O 0.0773 0.2500 0.3804
O 0.0933 0.5933 0.2500
O 0.2500 0.7500 0.7500

=====

Theoretical powder X-ray diffraction pattern
Compound: Na11Zn2O8
Radiation: a wavelength of 1.5418 Å
Structure: a DFT-relaxed cell (PBE, OQMD)

Most intense lines, 2θ = 5–70°, most intense first:
| Position (°2θ) | I (rel.) | index |
| --- | --- | --- |
| 20.42 | 100 | 0 1 1 |
| 48.67 | 92 | 2 2 2 |
| 31.99 | 66 | 2 1 1 |
| 40.22 | 57 | 0 3 1 |
| 34.52 | 43 | 2 2 0 |
| 33.23 | 34 | 0 0 2 |
| 17.07 | 33 | 1 1 0 |
| 31.80 | 32 | 1 2 1 |
| 49.97 | 30 | 4 0 0 |
| 29.55 | 29 | 2 0 1 |

Crystal structure
Cell: 7.3001 7.3970 5.3920 Å, 90.00 90.00 90.00°
Space group Pmm2 (No. 25)
Symmetry-distinct sites (fractional):
Na 0.0000 0.0000 0.0000
Na 0.0000 0.0000 0.4937
Na 0.2363 0.3025 0.4090
Na 0.2880 0.2107 0.9186
Na 0.5000 0.5000 0.8264
Zn 0.0000 0.5000 0.9017
Zn 0.5000 0.0000 0.4253
O 0.0000 0.2563 0.7226
O 0.2387 0.5000 0.0756
O 0.2566 0.0000 0.2338
O 0.5000 0.2312 0.6164